[1]
Simulated powder XRD pattern of CsK2AsBr6 for Cu Ka, from a crystal structure in the Materials Project, relaxed with PBE.
No peak broadening, texture or thermal motion is included.

Largest 10 diffraction maxima, in order of rising 2θ, 10 to 90 degrees two-theta:
two_theta, intensity
14.71, 87.1
20.86, 19.3
25.62, 40.7
29.67, 100.0
32.41, 21.3
33.27, 35.8
42.46, 64.8
45.18, 19.0
52.66, 19.9
69.86, 20.7

Atomic structure:
```
CsK2AsBr6
1.0
0.000 6.021 6.021
6.021 0.000 6.021
6.021 6.021 0.000
Cs K As Br
1 2 1 6
Direct
0.000 0.000 0.000 Cs
0.250 0.250 0.250 K
0.750 0.750 0.750 K
0.500 0.500 0.500 As
0.279 0.279 0.721 Br
0.279 0.721 0.279 Br
0.279 0.721 0.721 Br
0.721 0.279 0.279 Br
0.721 0.279 0.721 Br
0.721 0.721 0.279 Br
```

---

[2]
Simulated powder XRD pattern of Cs2KAsBr6 for Cu Ka, from a crystal structure in the Materials Project, relaxed with PBE.
No peak broadening, texture or thermal motion is included.

Largest 10 diffraction maxima, in order of rising 2θ, 10 to 90 degrees two-theta:
two_theta, intensity
13.12, 13.8
21.51, 33.3
26.42, 100.0
30.60, 96.8
43.82, 66.4
51.90, 39.0
54.39, 21.8
70.22, 13.6
72.32, 25.2
80.54, 17.9

Atomic structure:
```
Cs2KAsBr6
1.0
0.000 5.843 5.843
5.843 0.000 5.843
5.843 5.843 0.000
Cs K As Br
2 1 1 6
Direct
0.250 0.250 0.250 Cs
0.750 0.750 0.750 Cs
0.000 0.000 0.000 K
0.500 0.500 0.500 As
0.271 0.271 0.729 Br
0.271 0.729 0.271 Br
0.271 0.729 0.729 Br
0.729 0.271 0.271 Br
0.729 0.271 0.729 Br
0.729 0.729 0.271 Br
```

---

[3]
Simulated powder XRD pattern of Cs2NaAsBr6 for Cu Ka, from a crystal structure in the Materials Project, relaxed with PBE.
No peak broadening, texture or thermal motion is included.

Largest 10 diffraction maxima, in order of rising 2θ, 10 to 90 degrees two-theta:
two_theta, intensity
13.57, 11.0
22.25, 24.3
27.34, 100.0
31.68, 87.7
45.41, 61.7
53.82, 41.6
56.42, 20.9
73.00, 16.0
75.22, 25.8
83.90, 19.2

Atomic structure:
```
Cs2NaAsBr6
1.0
0.000 5.650 5.650
5.650 0.000 5.650
5.650 5.650 0.000
Cs Na As Br
2 1 1 6
Direct
0.250 0.250 0.250 Cs
0.750 0.750 0.750 Cs
0.000 0.000 0.000 Na
0.500 0.500 0.500 As
0.263 0.263 0.737 Br
0.263 0.737 0.263 Br
0.263 0.737 0.737 Br
0.737 0.263 0.263 Br
0.737 0.263 0.737 Br
0.737 0.737 0.263 Br
```

---

[4]
Simulated powder XRD pattern of CsRb2AsBr6 for Cu Ka, from a crystal structure in the Materials Project, relaxed with PBE.
No peak broadening, texture or thermal motion is included.

Largest 10 diffraction maxima, in order of rising 2θ, 10 to 90 degrees two-theta:
two_theta, intensity
14.66, 34.8
20.79, 39.3
25.54, 51.6
29.57, 100.0
32.30, 17.3
42.32, 66.2
47.60, 15.3
50.08, 15.3
52.47, 20.8
69.60, 22.3

Atomic structure:
```
CsRb2AsBr6
1.0
0.000 6.041 6.041
6.041 0.000 6.041
6.041 6.041 0.000
Cs Rb As Br
1 2 1 6
Direct
0.000 0.000 0.000 Cs
0.250 0.250 0.250 Rb
0.750 0.750 0.750 Rb
0.500 0.500 0.500 As
0.279 0.279 0.721 Br
0.279 0.721 0.279 Br
0.279 0.721 0.721 Br
0.721 0.279 0.279 Br
0.721 0.279 0.721 Br
0.721 0.721 0.279 Br
```

---

[5]
Simulated powder XRD pattern of Cs2RbAsBr6 for Cu Ka, from a crystal structure in the Materials Project, relaxed with PBE.
No peak broadening, texture or thermal motion is included.

Largest 10 diffraction maxima, in order of rising 2θ, 10 to 90 degrees two-theta:
two_theta, intensity
21.12, 46.8
25.95, 79.4
30.05, 100.0
37.02, 17.1
43.01, 67.9
48.39, 15.2
50.92, 28.5
53.36, 22.0
70.85, 24.8
78.83, 17.1

Atomic structure:
```
Cs2RbAsBr6
1.0
0.000 5.948 5.948
5.948 0.000 5.948
5.948 5.948 0.000
Cs Rb As Br
2 1 1 6
Direct
0.250 0.250 0.250 Cs
0.750 0.750 0.750 Cs
0.000 0.000 0.000 Rb
0.500 0.500 0.500 As
0.275 0.275 0.725 Br
0.275 0.725 0.275 Br
0.275 0.725 0.725 Br
0.725 0.275 0.275 Br
0.725 0.275 0.725 Br
0.725 0.725 0.275 Br
```

---

[6]
Simulated powder XRD pattern of CuHg3As2Br3 for Cu Ka, from a crystal structure in the Materials Project, relaxed with PBE.
No peak broadening, texture or thermal motion is included.

Largest 10 diffraction maxima, in order of rising 2θ, 10 to 90 degrees two-theta:
two_theta, intensity
13.97, 30.4
23.34, 52.7
25.47, 20.5
28.10, 68.5
28.20, 100.0
39.97, 26.8
40.48, 34.1
42.71, 25.5
46.10, 22.1
46.95, 18.0

Atomic structure:
```
CuHg3As2Br3
1.0
12.705 -4.764 0.000
12.705 4.764 0.000
-8.681 0.000 12.703
Cu Hg As Br
6 18 12 18
Direct
0.096 0.564 0.210 Cu
0.113 0.887 0.750 Cu
0.436 0.904 0.290 Cu
0.564 0.096 0.710 Cu
0.887 0.113 0.250 Cu
0.904 0.436 0.790 Cu
0.000 0.000 0.000 Hg
0.000 0.000 0.500 Hg
0.035 0.629 0.751 Hg
0.161 0.169 0.501 Hg
0.169 0.161 0.001 Hg
0.321 0.679 0.250 Hg
0.327 0.335 0.498 Hg
0.335 0.327 0.998 Hg
0.371 0.965 0.749 Hg
0.500 0.500 0.000 Hg
0.500 0.500 0.500 Hg
0.629 0.035 0.251 Hg
0.665 0.673 0.002 Hg
0.673 0.665 0.502 Hg
0.679 0.321 0.750 Hg
0.831 0.839 0.999 Hg
0.839 0.831 0.499 Hg
0.965 0.371 0.249 Hg
0.045 0.755 0.950 As
0.088 0.373 0.448 As
0.245 0.955 0.550 As
0.300 0.565 0.049 As
0.373 0.088 0.948 As
0.435 0.700 0.451 As
0.565 0.300 0.549 As
0.627 0.912 0.052 As
0.700 0.435 0.951 As
0.755 0.045 0.450 As
0.912 0.627 0.552 As
0.955 0.245 0.050 As
0.000 0.155 0.751 Br
0.000 0.500 0.000 Br
0.000 0.845 0.249 Br
0.094 0.359 0.739 Br
0.155 0.000 0.251 Br
0.180 0.711 0.585 Br
0.289 0.820 0.915 Br
0.359 0.094 0.239 Br
0.368 0.391 0.246 Br
0.391 0.368 0.746 Br
0.500 0.000 0.500 Br
0.609 0.632 0.254 Br
0.632 0.609 0.754 Br
0.641 0.906 0.761 Br
0.711 0.180 0.085 Br
0.820 0.289 0.415 Br
0.845 0.000 0.749 Br
0.906 0.641 0.261 Br
```

---

Copy entry 4 word for word.
Simulated powder XRD pattern of CsRb2AsBr6 for Cu Ka, from a crystal structure in the Materials Project, relaxed with PBE.
No peak broadening, texture or thermal motion is included.

Largest 10 diffraction maxima, in order of rising 2θ, 10 to 90 degrees two-theta:
two_theta, intensity
14.66, 34.8
20.79, 39.3
25.54, 51.6
29.57, 100.0
32.30, 17.3
42.32, 66.2
47.60, 15.3
50.08, 15.3
52.47, 20.8
69.60, 22.3

Atomic structure:
```
CsRb2AsBr6
1.0
0.000 6.041 6.041
6.041 0.000 6.041
6.041 6.041 0.000
Cs Rb As Br
1 2 1 6
Direct
0.000 0.000 0.000 Cs
0.250 0.250 0.250 Rb
0.750 0.750 0.750 Rb
0.500 0.500 0.500 As
0.279 0.279 0.721 Br
0.279 0.721 0.279 Br
0.279 0.721 0.721 Br
0.721 0.279 0.279 Br
0.721 0.279 0.721 Br
0.721 0.721 0.279 Br
```